The following is a theoretical X-ray diffraction stick pattern of Dy2Al8Pd. It was derived from the PBE geometry in Alexandria, using copper Kα.
Peak positions follow from Bragg's law for the DFT cell and can differ from measured ones.

The 8 most intense peaks (2θ from 10° to 80°), in order of rising 2θ:
(1 0 0), 2θ = 20.70°, intensity 99
(0 0 3), 2θ = 23.86°, intensity 25
(1 1 0), 2θ = 29.44°, intensity 30
(1 0 3), 2θ = 31.79°, intensity 62
(1 1 3), 2θ = 38.24°, intensity 100
(2 0 0), 2θ = 42.11°, intensity 47
(2 1 3), 2θ = 53.72°, intensity 28
(3 1 3), 2θ = 74.39°, intensity 28

Structure:
```
Dy2Al8Pd
1.0
4.2913 0.0000 0.0000
0.0000 4.2913 0.0000
0.0000 0.0000 11.1867
Dy Al Pd
2 8 1
Cartesian
0.0000 0.0000 2.1074
0.0000 0.0000 9.0793
0.0000 2.1457 0.0000
0.0000 2.1457 4.1851
0.0000 2.1457 7.0016
2.1457 0.0000 0.0000
2.1457 0.0000 4.1851
2.1457 0.0000 7.0016
2.1457 2.1457 2.1828
2.1457 2.1457 9.0039
0.0000 0.0000 5.5934
```